Computed powder X-ray diffraction pattern of Li9Mn2Co5O16 for CuKα, from DFT lattice parameters and positions (PBE+U).
No peak broadening, texture or thermal motion is included.

Structure:
```
Li9Mn2Co5O16
1.0
5.8765 0.0000 0.0000
-0.0392 5.9016 0.0000
-0.0009 -0.1478 8.2712
Li Mn Co O
9 2 5 16
direct
0.0000 0.0000 0.0000
0.0000 0.0000 0.5000
0.0000 0.5000 0.0000
0.2439 0.2451 0.7561
0.2451 0.7520 0.2454
0.5000 0.0000 0.5000
0.5000 0.5000 0.0000
0.7549 0.2480 0.7546
0.7561 0.7549 0.2439
0.5000 0.0000 0.0000
0.5000 0.5000 0.5000
0.0000 0.5000 0.5000
0.2432 0.2402 0.2452
0.2438 0.7528 0.7574
0.7562 0.2472 0.2426
0.7568 0.7598 0.7548
0.0022 0.4943 0.2601
0.0091 0.0216 0.2589
0.2616 0.2716 0.5003
0.2646 0.7318 0.5109
0.2649 0.7622 0.9857
0.2684 0.2340 0.0054
0.4914 0.4828 0.2667
0.4999 0.0036 0.2343
0.5001 0.9964 0.7657
0.5086 0.5172 0.7333
0.7316 0.7660 0.9946
0.7351 0.2378 0.0143
0.7354 0.2682 0.4891
0.7384 0.7284 0.4997
0.9909 0.9784 0.7411
0.9978 0.5057 0.7399
```

Main lines, in order of rising 2θ (10 to 90 degrees two-theta):
Position (°2θ)  I_rel
18.31  100
35.82  15
36.00  15
36.21  13
37.55  8
43.32  28
43.62  27
43.78  27
47.69  9
63.04  15